This entry pairs a crystal structure of Pd2Cl2O with its simulated powder diffractogram. Radiation: CuKα. Structure: the GGA-PBE geometry in Alexandria.
Neutral-atom scattering factors, no anomalous dispersion.

Structure:
a b c (Å): 6.478 6.478 10.056
angles (deg): 90.00 90.00 90.00
Space group I4_1/amd (No. 141, origin choice 2)
Symmetry-distinct sites (fractional):
Pd 0.000 0.000 0.000 [8 per cell]
Cl 0.000 0.250 0.169 [8 per cell]
O 0.000 0.250 0.875 [4 per cell]

Most intense lines, 2θ = 15–90°, by angle:
| hkl | 2θ (°) | I_rel |
| --- | --- | --- |
| 1 0 1 | 16.3 | 100 |
| 2 0 0 | 27.5 | 10 |
| 2 1 1 | 32.2 | 40 |
| 2 0 2 | 32.9 | 73 |
| 2 1 3 | 41.2 | 40 |
| 1 0 5 | 47.3 | 11 |
| 3 2 1 | 51.7 | 10 |
| 2 2 4 | 54.2 | 25 |
| 4 0 0 | 56.9 | 14 |
| 3 2 3 | 58.3 | 13 |
| 2 0 6 | 62.4 | 11 |
| 4 2 2 | 67.3 | 18 |